Structure and computed powder X-ray diffraction pattern of Pr2CdIr (a structure optimized by DFT (GGA-PBE); Cu Kα (weighted mean of Kα1 and Kα2)).
Neutral-atom scattering factors, no anomalous dispersion.

Most intense lines, 10 to 90 degrees two-theta, most intense first:
2θ = 30.88°, intensity 1000, (0 1 5); 2θ = 42.55°, intensity 505, (1 1 0); 2θ = 11.32°, intensity 351, (0 0 3); 2θ = 25.37°, intensity 323, (0 1 2); 2θ = 36.26°, intensity 250, (1 0 7); 2θ = 53.49°, intensity 213, (2 0 5); 2θ = 45.88°, intensity 202, (1 0 10); 2θ = 70.63°, intensity 185, (1 2 5); 2θ = 39.29°, intensity 142, (0 1 8); 2θ = 56.83°, intensity 102, (1 0 13)

Atomic structure:
Cell: 4.250 4.250 23.456 Å, 90.00 90.00 120.00°
Positions (direct):
Pr 0.000 0.000 0.000
Pr 0.000 0.000 0.204
Pr 0.333 0.667 0.667
Pr 0.333 0.667 0.871
Pr 0.667 0.333 0.333
Pr 0.667 0.333 0.538
Cd 0.000 0.000 0.768
Cd 0.333 0.667 0.434
Cd 0.667 0.333 0.101
Ir 0.000 0.000 0.604
Ir 0.333 0.667 0.270
Ir 0.667 0.333 0.937